No. 1
Diffraction record for K2Fe4O7. The XRD peak list is calculated, not measured: it uses a structure optimized by DFT (PBE+U) and CuKα.
Neutral-atom scattering factors, no anomalous dispersion.

Crystal structure
```
data_K2Fe4O7
_chemical_formula_sum 'K2 Fe4 O7'
_space_group_name_H-M_alt 'P -3 1 m'
_space_group_IT_number 162
_space_group_name_Hall '-P 3 2'
_cell_length_a 5.3084
_cell_length_b 5.3084
_cell_length_c 6.9852
_cell_angle_alpha 90.00
_cell_angle_beta 90.00
_cell_angle_gamma 120.00
loop_
_atom_site_label
_atom_site_fract_x
_atom_site_fract_y
_atom_site_fract_z
K1 0.3333 0.6667 0.0000
Fe1 0.0000 0.0000 0.2714
Fe2 0.3333 0.6667 0.5000
O1 0.0000 0.0000 0.0000
O2 0.0000 0.3527 0.6639
```

Main lines, low angle first (2θ = 10–90°):
hkl, 2theta, I_rel
0 0 1, 12.67, 34
1 0 2, 32.19, 100
1 1 0, 33.77, 95
2 -1 1, 36.20, 10
2 -1 2, 42.79, 23
2 0 2, 47.34, 35
3 -1 2, 59.41, 32
3 0 0, 60.41, 32
1 1 4, 63.80, 37
3 1 2, 80.13, 12



No. 2
Diffraction record for K3Fe2O4. The XRD peak list is calculated, not measured: it uses a structure optimized by DFT (PBE+U) and CuKα.
Neutral-atom scattering factors, no anomalous dispersion.

Crystal structure
```
data_K3Fe2O4
_chemical_formula_sum 'K24 Fe16 O32'
_space_group_name_H-M_alt 'F d d d'
_space_group_IT_number 70
_cell_length_a 6.0758
_cell_length_b 11.5731
_cell_length_c 17.1642
_cell_angle_alpha 90.00
_cell_angle_beta 90.00
_cell_angle_gamma 90.00
loop_
_space_group_symop_operation_xyz
'x,y,z'
'-x,-y,-z'
'-x+1/4,-y+1/4,z'
'x+1/4,y+1/4,-z'
'x,-y+1/4,-z+1/4'
'-x,y+1/4,z+1/4'
'-x+1/4,y,-z+1/4'
'x+1/4,-y,z+1/4'
'x,y+1/2,z+1/2'
'-x,-y+1/2,-z+1/2'
'-x+1/4,-y+3/4,z+1/2'
'x+1/4,y+3/4,-z+1/2'
'x,-y+3/4,-z+3/4'
'-x,y+3/4,z+3/4'
'-x+1/4,y+1/2,-z+3/4'
'x+1/4,-y+1/2,z+3/4'
'x+1/2,y,z+1/2'
'-x+1/2,-y,-z+1/2'
'-x+3/4,-y+1/4,z+1/2'
'x+3/4,y+1/4,-z+1/2'
'x+1/2,-y+1/4,-z+3/4'
'-x+1/2,y+1/4,z+3/4'
'-x+3/4,y,-z+3/4'
'x+3/4,-y,z+3/4'
'x+1/2,y+1/2,z'
'-x+1/2,-y+1/2,-z'
'-x+3/4,-y+3/4,z'
'x+3/4,y+3/4,-z'
'x+1/2,-y+3/4,-z+1/4'
'-x+1/2,y+3/4,z+1/4'
'-x+3/4,y+1/2,-z+1/4'
'x+3/4,-y+1/2,z+1/4'
loop_
_atom_site_label
_atom_site_fract_x
_atom_site_fract_y
_atom_site_fract_z
K1 0.1250 0.1250 0.0162
K2 0.1250 0.1250 0.6250
Fe1 0.1250 0.1250 0.4331
O1 0.0000 0.0000 0.5000
O2 0.1250 0.3070 0.1250
```

Main lines, low angle first (2θ = 10–90°):
hkl, 2theta, I_rel
0 2 2, 18.49, 18
1 1 3, 22.69, 16
0 4 0, 30.90, 100
2 2 0, 33.31, 66
1 3 5, 38.09, 77
1 5 5, 49.83, 21
3 1 5, 53.10, 20
2 6 0, 56.51, 18
3 3 5, 58.03, 14
0 8 0, 64.40, 14



No. 3
Diffraction record for K3Fe4O8. The XRD peak list is calculated, not measured: it uses a structure optimized by DFT (PBE+U) and CuKα.
Neutral-atom scattering factors, no anomalous dispersion.

Crystal structure
```
data_K3Fe4O8
_chemical_formula_sum 'K3 Fe4 O8'
_space_group_name_H-M_alt 'P -4 m 2'
_space_group_IT_number 115
_space_group_name_Hall 'P -4 -2'
_cell_length_a 6.2165
_cell_length_b 6.2165
_cell_length_c 7.9763
_cell_angle_alpha 90.00
_cell_angle_beta 90.00
_cell_angle_gamma 90.00
loop_
_atom_site_label
_atom_site_fract_x
_atom_site_fract_y
_atom_site_fract_z
K1 0.0000 0.0000 0.0000
K2 0.0000 0.5000 0.2928
Fe1 0.0000 0.0000 0.5000
Fe2 0.0000 0.5000 0.7569
Fe3 0.5000 0.5000 0.0000
O1 0.0000 0.2427 0.6384
O2 0.2331 0.5000 0.9038
```

Main lines, low angle first (2θ = 10–90°):
hkl, 2theta, I_rel
1 0 1, 18.09, 73
2 0 0, 28.72, 63
1 1 2, 30.26, 100
2 2 0, 41.07, 9
2 1 3, 47.30, 11
3 1 2, 51.85, 40
2 0 4, 54.69, 14
4 0 0, 59.48, 12
2 2 4, 62.93, 14
4 2 0, 67.37, 9



No. 4
Diffraction record for KFe11O17. The XRD peak list is calculated, not measured: it uses a structure optimized by DFT (PBE+U) and CuKα.
Neutral-atom scattering factors, no anomalous dispersion.

Crystal structure
```
data_KFe11O17
_chemical_formula_sum 'K2 Fe22 O34'
_space_group_name_H-M_alt 'P 1'
_space_group_IT_number 1
_space_group_name_Hall 'P 1'
_cell_length_a 5.9898
_cell_length_b 5.9902
_cell_length_c 24.0591
_cell_angle_alpha 89.80
_cell_angle_beta 89.88
_cell_angle_gamma 60.02
loop_
_atom_site_label
_atom_site_fract_x
_atom_site_fract_y
_atom_site_fract_z
K1 0.0000 0.0000 0.0000
K2 0.3348 0.3325 0.5007
Fe1 0.0006 0.0017 0.2743
Fe2 0.0008 0.9990 0.4249
Fe3 0.0008 0.9985 0.7254
Fe4 0.0017 0.9999 0.5749
Fe5 0.0040 0.4984 0.3559
Fe6 0.0038 0.4988 0.6439
Fe7 0.3325 0.8312 0.8575
Fe8 0.3320 0.8369 0.1420
Fe9 0.3347 0.3315 0.2234
Fe10 0.3359 0.3337 0.7761
Fe11 0.3372 0.3317 0.9250
Fe12 0.3383 0.3295 0.0746
Fe13 0.4999 0.0022 0.3558
Fe14 0.4999 0.4985 0.3559
Fe15 0.5011 0.0018 0.6438
Fe16 0.5010 0.4986 0.6438
Fe17 0.6680 0.6660 0.2494
Fe18 0.6680 0.6664 0.7503
Fe19 0.8341 0.3304 0.8574
Fe20 0.8336 0.8374 0.1422
Fe21 0.8346 0.3343 0.1478
Fe22 0.8354 0.8320 0.8523
O1 0.1565 0.6736 0.8962
O2 0.1585 0.1701 0.1038
O3 0.1644 0.1624 0.8970
O4 0.1646 0.6732 0.1031
O5 0.1722 0.1697 0.3969
O6 0.1722 0.1703 0.6038
O7 0.1723 0.6575 0.3969
O8 0.1721 0.6597 0.6025
O9 0.3344 0.3333 0.3045
O10 0.3354 0.3332 0.6952
O11 0.3350 0.3336 0.0002
O12 0.3539 0.8229 0.3002
O13 0.3544 0.8235 0.6998
O14 0.5119 0.5106 0.8013
O15 0.5121 0.9784 0.1988
O16 0.5176 0.5041 0.1983
O17 0.5187 0.9788 0.8018
O18 0.6593 0.1701 0.3967
O19 0.6611 0.1705 0.6022
O20 0.6679 0.6664 0.3934
O21 0.6682 0.6664 0.6064
O22 0.6732 0.6708 0.8923
O23 0.6737 0.6562 0.1073
O24 0.6754 0.1531 0.8953
O25 0.6768 0.1719 0.1038
O26 0.8247 0.3530 0.3008
O27 0.8254 0.3525 0.6999
O28 0.8250 0.8229 0.6992
O29 0.8260 0.8223 0.3001
O30 0.9799 0.5031 0.1979
O31 0.9810 0.5163 0.8019
O32 0.9975 0.0056 0.1938
O33 0.9988 0.9969 0.8061
O34 0.9987 0.9993 0.5005
```

Main lines, low angle first (2θ = 10–90°):
hkl, 2theta, I_rel
0 0 4, 14.73, 54
1 0 2, 18.63, 30
2 1 0, 29.83, 32
1 1 -7, 31.22, 100
2 1 -4, 33.42, 62
2 2 -1, 34.79, 42
2 2 3, 36.40, 36
1 2 6, 37.43, 19
-2 1 7, 53.78, 24
4 2 0, 61.96, 51



No. 5
Diffraction record for K3Fe22O34. The XRD peak list is calculated, not measured: it uses a structure optimized by DFT (PBE+U) and CuKα.
Neutral-atom scattering factors, no anomalous dispersion.

Crystal structure
```
data_K3Fe22O34
_chemical_formula_sum 'K3 Fe22 O34'
_space_group_name_H-M_alt 'P 1'
_space_group_IT_number 1
_space_group_name_Hall 'P 1'
_cell_length_a 5.8031
_cell_length_b 5.8031
_cell_length_c 23.5134
_cell_angle_alpha 89.94
_cell_angle_beta 89.97
_cell_angle_gamma 60.05
loop_
_atom_site_label
_atom_site_fract_x
_atom_site_fract_y
_atom_site_fract_z
K1 0.0000 0.0000 0.0000
K2 0.2794 0.4385 0.5007
K3 0.5973 0.8376 0.5004
Fe1 0.0090 0.0204 0.4214
Fe2 0.0091 0.0212 0.5796
Fe3 0.0146 0.0139 0.7249
Fe4 0.0145 0.0150 0.2764
Fe5 0.0168 0.5129 0.3545
Fe6 0.0168 0.5130 0.6466
Fe7 0.3441 0.8481 0.1467
Fe8 0.3438 0.8484 0.8544
Fe9 0.3455 0.3469 0.9231
Fe10 0.3466 0.3460 0.0776
Fe11 0.3469 0.3472 0.2252
Fe12 0.3477 0.3463 0.7761
Fe13 0.5120 0.0176 0.3547
Fe14 0.5119 0.0179 0.6464
Fe15 0.5117 0.5121 0.3548
Fe16 0.5117 0.5124 0.6463
Fe17 0.6799 0.6821 0.2512
Fe18 0.6811 0.6801 0.7501
Fe19 0.8483 0.3439 0.1467
Fe20 0.8478 0.3445 0.8543
Fe21 0.8479 0.8478 0.1468
Fe22 0.8477 0.8481 0.8542
O1 0.0132 0.0137 0.1935
O2 0.0135 0.0139 0.8076
O3 0.0344 0.9812 0.5005
O4 0.1672 0.1675 0.8973
O5 0.1677 0.1676 0.1036
O6 0.1685 0.7023 0.1042
O7 0.1679 0.7033 0.8969
O8 0.1894 0.6626 0.6041
O9 0.1897 0.6613 0.3971
O10 0.1946 0.1962 0.3996
O11 0.1949 0.1966 0.6014
O12 0.3472 0.3469 0.3082
O13 0.3472 0.3470 0.6929
O14 0.3508 0.3519 0.0004
O15 0.3677 0.8371 0.3080
O16 0.3683 0.8368 0.6933
O17 0.5228 0.9937 0.1942
O18 0.5242 0.5245 0.8069
O19 0.5243 0.5247 0.1945
O20 0.5238 0.9930 0.8069
O21 0.6484 0.1963 0.4003
O22 0.6484 0.1968 0.6007
O23 0.6805 0.6799 0.1077
O24 0.6798 0.6802 0.8933
O25 0.6814 0.6792 0.3948
O26 0.6815 0.6797 0.6063
O27 0.7031 0.1681 0.1041
O28 0.7027 0.1683 0.8968
O29 0.8362 0.8378 0.6933
O30 0.8375 0.3654 0.6930
O31 0.8372 0.3664 0.3082
O32 0.8368 0.8378 0.3079
O33 0.9927 0.5237 0.1944
O34 0.9933 0.5237 0.8069
```

Main lines, low angle first (2θ = 10–90°):
hkl, 2theta, I_rel
0 0 4, 15.07, 56
2 1 0, 30.81, 34
1 1 -7, 32.05, 100
2 1 -4, 34.46, 61
2 0 -1, 35.93, 45
0 2 -3, 37.58, 36
1 -1 6, 38.60, 43
3 2 -7, 55.57, 38
2 0 13, 63.34, 29
4 2 0, 64.18, 47



No. 6
Diffraction record for KFeO3. The XRD peak list is calculated, not measured: it uses a structure optimized by DFT (PBE+U) and CuKα.
Neutral-atom scattering factors, no anomalous dispersion.

Crystal structure
```
data_KFeO3
_chemical_formula_sum 'K4 Fe4 O12'
_space_group_name_H-M_alt 'P n m a'
_space_group_IT_number 62
_space_group_name_Hall '-P 2ac 2n'
_cell_length_a 5.0899
_cell_length_b 5.6113
_cell_length_c 13.3292
_cell_angle_alpha 90.00
_cell_angle_beta 90.00
_cell_angle_gamma 90.00
loop_
_atom_site_label
_atom_site_fract_x
_atom_site_fract_y
_atom_site_fract_z
K1 0.2384 0.2500 0.0908
Fe1 0.1865 0.7500 0.3294
O1 0.1558 0.2500 0.7054
O2 0.2481 0.5050 0.3968
```

Main lines, low angle first (2θ = 10–90°):
hkl, 2theta, I_rel
0 1 1, 17.15, 81
1 0 2, 21.97, 24
1 1 1, 24.54, 100
0 1 3, 25.57, 43
0 0 4, 26.75, 33
1 1 3, 31.11, 40
0 2 0, 31.90, 26
2 0 0, 35.27, 41
1 2 4, 45.89, 36
1 2 8, 67.97, 26



No. 7
Diffraction record for KFe11O17. The XRD peak list is calculated, not measured: it uses a structure optimized by DFT (PBE+U) and CuKα.
Neutral-atom scattering factors, no anomalous dispersion.

Crystal structure
```
data_KFe11O17
_chemical_formula_sum 'K4 Fe44 O68'
_space_group_name_H-M_alt 'C 1 2 1'
_space_group_IT_number 5
_space_group_name_Hall 'C 2y'
_cell_length_a 5.9902
_cell_length_b 10.3768
_cell_length_c 24.0591
_cell_angle_alpha 90.00
_cell_angle_beta 90.20
_cell_angle_gamma 90.00
loop_
_atom_site_label
_atom_site_fract_x
_atom_site_fract_y
_atom_site_fract_z
K1 0.0000 0.0000 0.0000
K2 0.0000 0.3326 0.5000
Fe1 0.0005 0.3314 0.0757
Fe2 0.9995 0.4980 0.3552
Fe3 0.0005 0.6660 0.2504
Fe4 0.0005 0.9996 0.4242
Fe5 0.0010 0.9996 0.7247
Fe6 0.0018 0.3321 0.2246
Fe7 0.0024 0.8338 0.8568
Fe8 0.2457 0.0832 0.1415
Fe9 0.2475 0.2494 0.6432
Fe10 0.2477 0.2500 0.3551
Fe11 0.2502 0.0823 0.8516
O1 0.0000 0.0007 0.5000
O2 0.0002 0.1704 0.3960
O3 0.0000 0.3325 0.0000
O4 0.9996 0.6661 0.3927
O5 0.0000 0.8231 0.2996
O6 0.0006 0.3328 0.6962
O7 0.0036 0.0006 0.8054
O8 0.0070 0.5095 0.1988
O9 0.0076 0.6634 0.1084
O10 0.0104 0.1616 0.8969
O11 0.2354 0.5870 0.7006
O12 0.2346 0.7440 0.8019
O13 0.2355 0.5875 0.3015
O14 0.2383 0.7406 0.1989
O15 0.2441 0.4139 0.3962
O16 0.2435 0.4139 0.6031
O17 0.2444 0.9177 0.1024
O18 0.2480 0.9218 0.8955
```

Main lines, low angle first (2θ = 10–90°):
hkl, 2theta, I_rel
0 0 4, 14.73, 54
0 2 2, 18.63, 30
1 3 0, 29.83, 32
1 1 7, 31.22, 100
2 0 4, 33.42, 62
2 2 1, 34.79, 42
2 2 -3, 36.40, 37
2 0 -6, 37.43, 20
1 5 -7, 53.77, 21
4 0 0, 61.96, 51